DyMgCu2Si2: theoretical powder diffractogram (copper Kα), based on a crystal structure in Alexandria, relaxed with GGA-PBE.

Main lines, sorted by position (2θ from 10° to 90°):
| two_theta | Rel. int. | (hkl) |
| --- | --- | --- |
| 13.09 | 18 | 0 0 1 |
| 24.92 | 13 | 1 0 0 |
| 28.25 | 75 | 0 1 1 |
| 36.58 | 100 | 1 0 2 |
| 43.89 | 56 | 1 1 0 |
| 53.02 | 13 | 2 0 1 |
| 58.42 | 25 | 0 2 2 |
| 60.86 | 20 | 1 1 3 |
| 72.23 | 14 | 1 1 4 |
| 75.86 | 23 | 2 1 2 |

Structure:
Cell lengths 4.126, 4.126, 6.766 Å; angles 90.00, 90.00, 120.00 degrees
Sites, in units of the cell vectors:
Dy 0.000 0.000 0.000
Mg 0.000 0.000 0.500
Cu 0.333 0.667 0.300
Cu 0.667 0.333 0.700
Si 0.333 0.667 0.736
Si 0.667 0.333 0.264